# La6AsP5
Calculated PXRD pattern, copper Kα. Input: DFT lattice parameters and positions (GGA-PBE).
Lines closer than 0.1° are merged.

Principal peaks in the range 2θ from 10° to 90°, in order of rising 2θ:
two_theta, I (rel.)
25.41, 58.7
29.42, 100.0
42.09, 74.1
49.80, 29.5
52.18, 26.1
69.19, 33.2

Crystal structure
abc: 7.437 7.437 7.436
angles: 99.59 99.59 119.99
Fractional coordinates of all 12 atoms:
La 0.079 0.416 0.748
La 0.247 0.247 0.252
La 0.416 0.079 0.748
La 0.584 0.921 0.252
La 0.753 0.753 0.748
La 0.921 0.584 0.252
As 0.500 0.500 0.000
P 0.000 0.000 0.500
P 0.167 0.833 0.000
P 0.334 0.666 0.500
P 0.666 0.334 0.500
P 0.833 0.167 0.000

***

# La2AsP
Calculated PXRD pattern, copper Kα. Input: DFT lattice parameters and positions (GGA-PBE).
Lines closer than 0.1° are merged.

Principal peaks in the range 2θ from 10° to 90°, in order of rising 2θ:
two_theta, I (rel.)
25.20, 35.2
29.18, 100.0
41.74, 74.6
51.73, 26.4
68.56, 33.6
76.20, 24.8

Crystal structure
abc: 4.328 4.328 21.206
angles: 90.00 90.00 120.00
Fractional coordinates of all 12 atoms:
La 0.000 0.000 0.248
La 0.000 0.000 0.752
La 0.333 0.667 0.419
La 0.333 0.667 0.915
La 0.667 0.333 0.085
La 0.667 0.333 0.581
As 0.000 0.000 0.000
As 0.333 0.667 0.667
As 0.667 0.333 0.333
P 0.000 0.000 0.500
P 0.333 0.667 0.167
P 0.667 0.333 0.833

***

# LaPmAsP
Calculated PXRD pattern, copper Kα. Input: DFT lattice parameters and positions (GGA-PBE).
Lines closer than 0.1° are merged.

Principal peaks in the range 2θ from 10° to 90°, in order of rising 2θ:
two_theta, I (rel.)
25.62, 37.8
29.67, 100.0
42.46, 74.5
52.66, 26.3
69.84, 22.4
77.69, 25.0

Crystal structure
abc: 4.255 4.255 6.028
angles: 90.00 90.00 90.00
Fractional coordinates of all 4 atoms:
La 0.000 0.000 0.000
Pm 0.500 0.500 0.500
As 0.000 0.000 0.500
P 0.500 0.500 0.000

***

# La5Pa3As8
Calculated PXRD pattern, copper Kα. Input: DFT lattice parameters and positions (GGA-PBE).
Lines closer than 0.1° are merged.

Principal peaks in the range 2θ from 10° to 90°, in order of rising 2θ:
two_theta, I (rel.)
25.66, 20.1
29.68, 100.0
42.40, 37.3
42.56, 37.7
52.74, 20.0
70.00, 17.0

Crystal structure
abc: 8.528 8.528 8.528
angles: 59.76 59.76 59.76
Fractional coordinates of all 16 atoms:
La 0.000 0.000 0.000
La 0.000 0.500 0.500
La 0.500 0.000 0.500
La 0.500 0.500 0.000
La 0.500 0.500 0.500
Pa 0.000 0.000 0.500
Pa 0.000 0.500 0.000
Pa 0.500 0.000 0.000
As 0.234 0.750 0.750
As 0.243 0.243 0.243
As 0.250 0.250 0.766
As 0.250 0.766 0.250
As 0.750 0.234 0.750
As 0.750 0.750 0.234
As 0.757 0.757 0.757
As 0.766 0.250 0.250

***

# La3PaAs4
Calculated PXRD pattern, copper Kα. Input: DFT lattice parameters and positions (GGA-PBE).
Lines closer than 0.1° are merged.

Principal peaks in the range 2θ from 10° to 90°, in order of rising 2θ:
two_theta, I (rel.)
25.41, 23.0
29.42, 100.0
42.09, 62.4
52.24, 13.4
69.16, 16.7
69.24, 16.8

Crystal structure
abc: 8.600 12.136 4.288
angles: 90.00 90.00 90.00
Fractional coordinates of all 16 atoms:
La 0.000 0.000 0.000
La 0.250 0.250 0.500
La 0.250 0.750 0.500
La 0.500 0.500 0.000
La 0.750 0.250 0.500
La 0.750 0.750 0.500
Pa 0.000 0.500 0.000
Pa 0.500 0.000 0.000
As 0.000 0.260 0.000
As 0.000 0.740 0.000
As 0.234 0.500 0.500
As 0.266 0.000 0.500
As 0.500 0.240 0.000
As 0.500 0.760 0.000
As 0.734 0.000 0.500
As 0.766 0.500 0.500

***

# La3Tb2PaAs6
Calculated PXRD pattern, copper Kα. Input: DFT lattice parameters and positions (GGA-PBE).
Lines closer than 0.1° are merged.

Principal peaks in the range 2θ from 10° to 90°, in order of rising 2θ:
two_theta, I (rel.)
25.78, 16.9
29.79, 100.0
42.51, 37.3
42.76, 37.5
52.99, 19.8
70.36, 16.9

Crystal structure
abc: 7.325 7.325 7.380
angles: 99.51 99.51 120.00
Fractional coordinates of all 12 atoms:
La 0.000 0.000 0.000
La 0.332 0.668 0.000
La 0.668 0.332 0.000
Tb 0.166 0.834 0.500
Tb 0.834 0.166 0.500
Pa 0.500 0.500 0.500
As 0.095 0.422 0.267
As 0.252 0.252 0.734
As 0.422 0.095 0.267
As 0.578 0.905 0.733
As 0.748 0.748 0.266
As 0.905 0.578 0.733